The following is a calculated powder X-ray diffraction pattern of Ac3La2Sc2Tl4. It was derived from a DFT-relaxed cell (GGA-PBE, Alexandria), using Cu Kα.

Atomic structure:
abc: 5.710 5.710 12.779
angles: 90.00 90.00 120.00
Atoms (fractional coordinates):
Ac 0.000 0.000 0.000
Ac 0.000 0.000 0.326
Ac 0.000 0.000 0.674
La 0.333 0.667 0.145
La 0.667 0.333 0.855
Sc 0.333 0.667 0.631
Sc 0.667 0.333 0.369
Tl 0.333 0.667 0.402
Tl 0.333 0.667 0.868
Tl 0.667 0.333 0.132
Tl 0.667 0.333 0.598

The 10 most intense peaks (2θ from 15° to 90°), most intense first:
hkl 1 1 0, 2θ 31.33, I 100
hkl 0 1 3, 2θ 27.64, I 62
hkl 1 1 4, 2θ 42.46, I 26
hkl 1 0 4, 2θ 33.39, I 22
hkl 1 2 3, 2θ 53.54, I 21
hkl 2 0 3, 2θ 42.26, I 20
hkl 3 0 0, 2θ 55.77, I 20
hkl 0 1 6, 2θ 46.43, I 19
hkl 0 1 2, 2θ 22.74, I 17
hkl 2 0 6, 2θ 57.09, I 15